(1)
Starting from a structure optimized by DFT (GGA-PBE), the powder XRD pattern of PrTmGe4Os2 was computed for λ = 1.5418 Å (Cu Kα).

Atomic structure:
Cell: 4.477 4.429 8.330 Å, 90.00 104.48 90.00°
Fractional positions:
Pr 0.000 0.000 0.000
Tm 0.769 0.500 0.581
Ge 0.077 0.500 0.305
Ge 0.349 0.000 0.708
Ge 0.434 0.500 0.883
Ge 0.722 0.000 0.295
Os 0.291 0.000 0.415
Os 0.509 0.500 0.182

Main lines, by angle (10 to 90 degrees two-theta):
d 8.066, intensity 100; d 3.098, intensity 52; d 3.082, intensity 86; d 2.982, intensity 55; d 2.733, intensity 90; d 2.594, intensity 81; d 2.298, intensity 84; d 2.215, intensity 83


(2)
Starting from a structure optimized by DFT (GGA-PBE), the powder XRD pattern of Ba2AlSnPd4 was computed for λ = 1.5418 Å (Cu Kα).

Atomic structure:
Cell: 4.573 4.573 11.222 Å, 90.00 90.00 120.00°
Fractional positions:
Ba 0.333 0.667 0.253
Ba 0.667 0.333 0.747
Al 0.000 0.000 0.500
Sn 0.000 0.000 0.000
Pd 0.333 0.667 0.542
Pd 0.333 0.667 0.952
Pd 0.667 0.333 0.048
Pd 0.667 0.333 0.458

Main lines, by angle (10 to 90 degrees two-theta):
d 5.611, intensity 25; d 3.735, intensity 22; d 2.806, intensity 24; d 2.719, intensity 100; d 2.286, intensity 83; d 1.772, intensity 37; d 1.750, intensity 27; d 1.390, intensity 25


(3)
Starting from a structure optimized by DFT (GGA-PBE), the powder XRD pattern of BaAsOsO was computed for λ = 1.5418 Å (Cu Kα).

Atomic structure:
Cell: 4.133 4.133 10.315 Å, 90.00 90.00 90.00°
Fractional positions:
Ba 0.250 0.250 0.138
Ba 0.750 0.750 0.862
As 0.250 0.250 0.634
As 0.750 0.750 0.366
Os 0.250 0.750 0.500
Os 0.750 0.250 0.500
O 0.250 0.750 0.000
O 0.750 0.250 0.000

Main lines, by angle (10 to 90 degrees two-theta):
d 5.157, intensity 55; d 3.225, intensity 100; d 2.812, intensity 66; d 2.543, intensity 66; d 2.066, intensity 62; d 1.934, intensity 88; d 1.740, intensity 33; d 1.166, intensity 34


(4)
Starting from a structure optimized by DFT (GGA-PBE), the powder XRD pattern of ScFeReSn was computed for λ = 1.5418 Å (Cu Kα).

Atomic structure:
Cell: 4.531 4.531 4.531 Å, 60.00 60.00 60.00°
Fractional positions:
Sc 0.000 0.000 0.000
Fe 0.750 0.750 0.750
Re 0.250 0.250 0.250
Sn 0.500 0.500 0.500

Main lines, by angle (10 to 90 degrees two-theta):
d 3.699, intensity 30; d 2.265, intensity 100; d 1.932, intensity 17; d 1.602, intensity 17; d 1.470, intensity 7; d 1.308, intensity 34; d 1.233, intensity 6; d 1.133, intensity 11


Please write out number 3 again, unchanged.
Starting from a structure optimized by DFT (GGA-PBE), the powder XRD pattern of BaAsOsO was computed for λ = 1.5418 Å (Cu Kα).

Atomic structure:
Cell: 4.133 4.133 10.315 Å, 90.00 90.00 90.00°
Fractional positions:
Ba 0.250 0.250 0.138
Ba 0.750 0.750 0.862
As 0.250 0.250 0.634
As 0.750 0.750 0.366
Os 0.250 0.750 0.500
Os 0.750 0.250 0.500
O 0.250 0.750 0.000
O 0.750 0.250 0.000

Main lines, by angle (10 to 90 degrees two-theta):
d 5.157, intensity 55; d 3.225, intensity 100; d 2.812, intensity 66; d 2.543, intensity 66; d 2.066, intensity 62; d 1.934, intensity 88; d 1.740, intensity 33; d 1.166, intensity 34